No. 1
Calculated XRD peak list of Pr4SnTe2 for Cu Ka, from DFT lattice parameters and positions (PBE).
Neutral-atom scattering factors, no anomalous dispersion.

Cell and atoms:
```
data_Pr4SnTe2
_cell_length_a 9.586
_cell_length_b 9.586
_cell_length_c 9.562
_cell_angle_alpha 90.00
_cell_angle_beta 90.00
_cell_angle_gamma 90.00
_symmetry_space_group_name_H-M 'I -4 2 d'
_symmetry_Int_Tables_number 122
_symmetry_space_group_name_Hall 'I -4 2bw'
loop_
_atom_site_label
_atom_site_type_symbol
_atom_site_fract_x
_atom_site_fract_y
_atom_site_fract_z
Pr1 Pr 0.068 0.179 0.303
Sn1 Sn 0.000 0.000 0.000
Te1 Te 0.127 0.250 0.625
```

Most intense lines, 15° ≤ 2θ ≤ 90°, by angle:
| two_theta | Rel. int. | h k l |
| --- | --- | --- |
| 29.5 | 100.0 | 3 0 1 |
| 35.1 | 64.7 | 2 1 3 |
| 42.2 | 11.2 | 4 0 2 |
| 46.4 | 16.3 | 4 2 2 |
| 48.5 | 23.0 | 4 3 1 |
| 59.5 | 16.7 | 6 1 1 |
| 62.9 | 9.6 | 5 1 4 |
| 72.5 | 12.7 | 7 2 1 |

No. 2
Calculated XRD peak list of BaMg2Tl3F9 for Cu Ka, from DFT lattice parameters and positions (PBE).
Neutral-atom scattering factors, no anomalous dispersion.

Cell and atoms:
```
data_BaMg2Tl3F9
_cell_length_a 6.0754
_cell_length_b 6.0754
_cell_length_c 8.2558
_cell_angle_alpha 90.00
_cell_angle_beta 90.00
_cell_angle_gamma 120.00
_symmetry_space_group_name_H-M 'P -3 m 1'
_symmetry_Int_Tables_number 164
_symmetry_space_group_name_Hall '-P 3 2"'
loop_
_atom_site_label
_atom_site_type_symbol
_atom_site_fract_x
_atom_site_fract_y
_atom_site_fract_z
Ba1 Ba 0.0000 0.0000 0.0000
Mg1 Mg 0.3333 0.6667 0.6496
Tl1 Tl 0.0000 0.0000 0.5000
Tl2 Tl 0.3333 0.6667 0.2327
F1 F 0.0000 0.5000 0.5000
F2 F 0.1773 0.3546 0.7824
```

Most intense lines, 15° ≤ 2θ ≤ 90°, by angle:
| two_theta | Rel. int. | h k l |
| --- | --- | --- |
| 20.0 | 58.1 | 1 0 1 |
| 27.5 | 100.0 | 0 1 2 |
| 29.4 | 83.4 | 1 1 0 |
| 35.8 | 35.5 | 0 2 1 |
| 40.7 | 58.8 | 2 0 2 |
| 51.0 | 34.9 | 1 2 2 |
| 53.7 | 22.8 | 1 1 4 |
| 61.0 | 17.5 | 2 2 0 |

No. 3
Calculated XRD peak list of Pr4SbH for Cu Ka, from DFT lattice parameters and positions (PBE).
Neutral-atom scattering factors, no anomalous dispersion.

Cell and atoms:
```
data_Pr4SbH
_cell_length_a 6.114
_cell_length_b 6.351
_cell_length_c 9.309
_cell_angle_alpha 80.39
_cell_angle_beta 70.87
_cell_angle_gamma 89.96
_symmetry_space_group_name_H-M 'P -1'
_symmetry_Int_Tables_number 2
loop_
_symmetry_equiv_pos_as_xyz
'x,y,z'
'-x,-y,-z'
loop_
_atom_site_label
_atom_site_type_symbol
_atom_site_fract_x
_atom_site_fract_y
_atom_site_fract_z
Pr1 Pr 0.077 0.302 0.094
Pr2 Pr 0.202 0.255 0.680
Pr3 Pr 0.329 0.802 0.093
Pr4 Pr 0.385 0.246 0.319
Sb1 Sb 0.221 0.751 0.500
H1 H 0.000 0.000 0.000
H2 H 0.500 0.500 0.000
```

Most intense lines, 15° ≤ 2θ ≤ 90°, by angle:
| two_theta | Rel. int. | h k l |
| --- | --- | --- |
| 28.6 | 75.1 | 0 2 0 |
| 29.2 | 22.4 | 2 0 1 |
| 29.6 | 28.2 | 1 0 -2 |
| 30.9 | 100.0 | -1 1 2 |
| 32.6 | 54.0 | 2 1 1 |
| 35.0 | 73.0 | 1 1 -2 |
| 41.3 | 22.7 | 2 2 1 |
| 49.2 | 21.5 | -1 3 2 |

No. 4
Calculated XRD peak list of Zn4SnPd2 for Cu Ka, from DFT lattice parameters and positions (PBE).
Neutral-atom scattering factors, no anomalous dispersion.

Cell and atoms:
```
data_Zn4SnPd2
_cell_length_a 3.101
_cell_length_b 4.253
_cell_length_c 17.565
_cell_angle_alpha 90.00
_cell_angle_beta 90.00
_cell_angle_gamma 90.00
_symmetry_space_group_name_H-M 'I m m m'
_symmetry_Int_Tables_number 71
_symmetry_space_group_name_Hall '-I 2 2'
loop_
_atom_site_label
_atom_site_type_symbol
_atom_site_fract_x
_atom_site_fract_y
_atom_site_fract_z
Zn1 Zn 0.000 0.000 0.110
Zn2 Zn 0.000 0.500 0.261
Sn1 Sn 0.000 0.500 0.000
Pd1 Pd 0.000 0.000 0.363
```

Most intense lines, 15° ≤ 2θ ≤ 90°, by angle:
| two_theta | Rel. int. | h k l |
| --- | --- | --- |
| 21.5 | 15.7 | 0 1 1 |
| 32.7 | 19.0 | 1 0 3 |
| 41.1 | 19.9 | 0 0 8 |
| 41.5 | 100.0 | 1 1 4 |
| 41.8 | 19.7 | 0 1 7 |
| 42.5 | 25.3 | 0 2 0 |
| 60.6 | 12.3 | 0 2 8 |
| 77.1 | 15.5 | 1 3 4 |

No. 5
Calculated XRD peak list of Na6MgBi2 for Cu Ka, from DFT lattice parameters and positions (PBE).
Neutral-atom scattering factors, no anomalous dispersion.

Cell and atoms:
```
data_Na6MgBi2
_cell_length_a 5.5055
_cell_length_b 5.5055
_cell_length_c 32.3530
_cell_angle_alpha 90.00
_cell_angle_beta 90.00
_cell_angle_gamma 120.00
_symmetry_space_group_name_H-M 'R -3 m'
_symmetry_Int_Tables_number 166
_symmetry_space_group_name_Hall '-R 3 2"'
loop_
_atom_site_label
_atom_site_type_symbol
_atom_site_fract_x
_atom_site_fract_y
_atom_site_fract_z
Na1 Na 0.0000 0.0000 0.0868
Na2 Na 0.0000 0.0000 0.2045
Na3 Na 0.0000 0.0000 0.3067
Mg1 Mg 0.0000 0.0000 0.5000
Bi1 Bi 0.0000 0.0000 0.4078
```

Most intense lines, 15° ≤ 2θ ≤ 90°, by angle:
| two_theta | Rel. int. | h k l |
| --- | --- | --- |
| 16.4 | 58.5 | 0 0 6 |
| 18.8 | 100.0 | 1 0 1 |
| 21.6 | 42.2 | 1 0 4 |
| 23.2 | 60.0 | 0 1 5 |
| 32.5 | 83.3 | 1 1 0 |
| 33.5 | 59.6 | 1 0 10 |
| 35.9 | 33.7 | 0 1 11 |
| 36.7 | 51.1 | 1 1 6 |

No. 6
Calculated XRD peak list of CeB3Ru6 for Cu Ka, from DFT lattice parameters and positions (PBE).
Neutral-atom scattering factors, no anomalous dispersion.

Cell and atoms:
```
data_CeB3Ru6
_cell_length_a 5.4886
_cell_length_b 5.4886
_cell_length_c 15.2587
_cell_angle_alpha 90.00
_cell_angle_beta 90.00
_cell_angle_gamma 120.00
_symmetry_space_group_name_H-M 'R 3'
_symmetry_Int_Tables_number 146
_symmetry_space_group_name_Hall 'R 3'
loop_
_atom_site_label
_atom_site_type_symbol
_atom_site_fract_x
_atom_site_fract_y
_atom_site_fract_z
Ce1 Ce 0.0000 0.0000 0.0000
B1 B 0.0000 0.0000 0.2876
B2 B 0.0000 0.0000 0.6226
B3 B 0.0000 0.0000 0.8245
Ru1 Ru 0.9999 0.4284 0.8655
Ru2 Ru 0.0021 0.5185 0.0543
```

Most intense lines, 15° ≤ 2θ ≤ 90°, by angle:
| two_theta | Rel. int. | h k l |
| --- | --- | --- |
| 30.0 | 26.8 | 1 0 4 |
| 35.3 | 38.6 | 0 0 6 |
| 37.2 | 52.2 | 1 1 3 |
| 38.3 | 100.0 | 0 2 1 |
| 39.7 | 30.8 | 2 0 2 |
| 44.9 | 25.2 | 0 2 4 |
| 48.6 | 39.9 | 2 0 5 |
| 48.8 | 27.2 | 2 -1 6 |